The following is a calculated X-ray diffraction stick pattern of NaV3F10. It was derived from DFT lattice parameters and positions (PBE+U), using copper Kα.
Lines closer than 0.1° are merged.

Crystal structure
abc: 13.256 15.924 7.598
angles: 90.00 90.00 90.00
Space group Fdd2 (No. 43)
Inequivalent atoms, fractional coordinates:
1 Na 0.000 0.000 0.000 [8 per cell]
2 V 0.000 0.000 0.482 [8 per cell]
3 V 0.000 0.250 0.480 [16 per cell]
4 F 0.000 0.124 0.484 [16 per cell]
5 F 0.003 0.367 0.471 [16 per cell]
6 F 0.046 0.246 0.229 [16 per cell]
7 F 0.102 0.498 0.790 [16 per cell]
8 F 0.104 0.001 0.670 [16 per cell]

Most intense lines, 2θ = 10–80°, low angle first:
2θ/deg	I_rel	index
14.54	19	1 1 1
22.33	92	0 4 0
26.90	50	4 0 0
27.05	100	2 0 2
45.57	34	0 8 0
47.62	40	6 0 2
47.89	18	0 0 4
53.80	24	2 8 2
55.79	17	4 0 4
68.03	23	6 8 2